For HoMnNi2, the GGA-PBE geometry in the Materials Project gives the theoretical X-ray diffraction stick pattern in this record (copper Kα).

Most intense lines, 5 to 70 degrees two-theta, by angle:
| two_theta | Rel. int. |
| --- | --- |
| 35.2 | 61 |
| 36.0 | 58 |
| 41.6 | 63 |
| 41.9 | 100 |
| 42.6 | 48 |
| 43.6 | 33 |

Cell and atoms:
a b c (Å): 8.591 8.591 8.591
angles (deg): 34.53 34.53 34.53
Element x y z (fractional)
Ho (0.000, 0.000, 0.000)
Ho (0.129, 0.129, 0.129)
Ho (0.516, 0.516, 0.516)
Mn (0.318, 0.318, 0.318)
Mn (0.640, 0.640, 0.640)
Mn (0.818, 0.818, 0.818)
Ni (0.066, 0.569, 0.569)
Ni (0.070, 0.070, 0.566)
Ni (0.070, 0.566, 0.070)
Ni (0.566, 0.070, 0.070)
Ni (0.569, 0.066, 0.569)
Ni (0.569, 0.569, 0.066)


For Ho2MnOs, the GGA-PBE geometry in the Materials Project gives the theoretical X-ray diffraction stick pattern in this record (copper Kα).

Most intense lines, 5 to 70 degrees two-theta, by angle:
| two_theta | Rel. int. |
| --- | --- |
| 22.3 | 12 |
| 36.8 | 100 |
| 43.4 | 7 |
| 53.0 | 18 |
| 58.2 | 3 |
| 66.2 | 36 |

Cell and atoms:
a b c (Å): 6.912 6.912 6.912
angles (deg): 90.00 90.00 90.00
Element x y z (fractional)
Ho (0.250, 0.250, 0.250)
Ho (0.250, 0.250, 0.750)
Ho (0.250, 0.750, 0.250)
Ho (0.250, 0.750, 0.750)
Ho (0.750, 0.250, 0.250)
Ho (0.750, 0.250, 0.750)
Ho (0.750, 0.750, 0.250)
Ho (0.750, 0.750, 0.750)
Mn (0.000, 0.000, 0.000)
Mn (0.000, 0.500, 0.500)
Mn (0.500, 0.000, 0.500)
Mn (0.500, 0.500, 0.000)
Os (0.000, 0.000, 0.500)
Os (0.000, 0.500, 0.000)
Os (0.500, 0.000, 0.000)
Os (0.500, 0.500, 0.500)


For Ho2Mn12P7, the GGA-PBE geometry in the Materials Project gives the theoretical X-ray diffraction stick pattern in this record (copper Kα).

Most intense lines, 5 to 70 degrees two-theta, by angle:
| two_theta | Rel. int. |
| --- | --- |
| 27.2 | 13 |
| 33.4 | 17 |
| 38.8 | 100 |
| 50.9 | 14 |
| 52.1 | 16 |
| 66.8 | 12 |

Cell and atoms:
a b c (Å): 9.293 9.293 3.591
angles (deg): 90.00 90.00 120.00
Element x y z (fractional)
Ho (0.000, 0.000, 0.000)
Ho (0.333, 0.667, 0.500)
Mn (0.043, 0.283, 0.500)
Mn (0.102, 0.722, 0.000)
Mn (0.240, 0.957, 0.500)
Mn (0.278, 0.380, 0.000)
Mn (0.441, 0.211, 0.000)
Mn (0.511, 0.455, 0.500)
Mn (0.545, 0.056, 0.500)
Mn (0.620, 0.898, 0.000)
Mn (0.717, 0.760, 0.500)
Mn (0.770, 0.559, 0.000)
Mn (0.789, 0.230, 0.000)
Mn (0.944, 0.489, 0.500)
P (0.076, 0.458, 0.000)
P (0.256, 0.214, 0.500)
P (0.382, 0.924, 0.000)
P (0.542, 0.618, 0.000)
P (0.667, 0.333, 0.500)
P (0.786, 0.042, 0.500)
P (0.958, 0.744, 0.500)


For Pr4Ho2Mn23, the GGA-PBE geometry in the Materials Project gives the theoretical X-ray diffraction stick pattern in this record (copper Kα).

Most intense lines, 5 to 70 degrees two-theta, by angle:
| two_theta | Rel. int. |
| --- | --- |
| 32.1 | 31 |
| 36.3 | 29 |
| 38.4 | 72 |
| 38.6 | 46 |
| 41.8 | 20 |
| 42.1 | 100 |

Cell and atoms:
a b c (Å): 8.588 8.588 8.588
angles (deg): 119.62 90.31 120.02
Element x y z (fractional)
Pr (0.202, 0.000, 0.202)
Pr (0.206, 0.003, 0.798)
Pr (0.206, 0.408, 0.202)
Pr (0.798, 0.000, 0.798)
Ho (0.789, 0.583, 0.794)
Ho (0.789, 0.995, 0.206)
Mn (0.132, 0.755, 0.377)
Mn (0.178, 0.359, 0.537)
Mn (0.178, 0.641, 0.820)
Mn (0.186, 0.363, 0.822)
Mn (0.379, 0.755, 0.623)
Mn (0.382, 0.250, 0.625)
Mn (0.382, 0.757, 0.132)
Mn (0.466, 0.641, 0.825)
Mn (0.504, 0.001, 0.002)
Mn (0.504, 0.004, 0.500)
Mn (0.504, 0.502, 0.504)
Mn (0.510, 0.510, 0.000)
Mn (0.541, 0.363, 0.178)
Mn (0.625, 0.250, 0.868)
Mn (0.625, 0.757, 0.375)
Mn (0.627, 0.248, 0.379)
Mn (0.816, 0.641, 0.175)
Mn (0.821, 0.359, 0.180)
Mn (0.821, 0.641, 0.463)
Mn (0.869, 0.248, 0.621)
Mn (0.996, 0.496, 0.500)
Mn (0.999, 0.001, 0.496)
Mn (0.999, 0.502, 0.998)


For Ho2Mn3Si5, the GGA-PBE geometry in the Materials Project gives the theoretical X-ray diffraction stick pattern in this record (copper Kα).

Most intense lines, 5 to 70 degrees two-theta, by angle:
| two_theta | Rel. int. |
| --- | --- |
| 25.0 | 29 |
| 31.5 | 100 |
| 35.0 | 31 |
| 38.1 | 28 |
| 38.9 | 44 |
| 41.2 | 46 |

Cell and atoms:
a b c (Å): 10.565 10.565 5.406
angles (deg): 90.00 90.00 90.00
Element x y z (fractional)
Ho (0.076, 0.236, 0.000)
Ho (0.236, 0.924, 0.000)
Ho (0.264, 0.424, 0.500)
Ho (0.424, 0.736, 0.500)
Ho (0.576, 0.264, 0.500)
Ho (0.736, 0.576, 0.500)
Ho (0.764, 0.076, 0.000)
Ho (0.924, 0.764, 0.000)
Mn (0.000, 0.500, 0.250)
Mn (0.000, 0.500, 0.750)
Mn (0.121, 0.854, 0.500)
Mn (0.146, 0.121, 0.500)
Mn (0.354, 0.621, 0.000)
Mn (0.379, 0.354, 0.000)
Mn (0.500, 0.000, 0.250)
Mn (0.500, 0.000, 0.750)
Mn (0.621, 0.646, 0.000)
Mn (0.646, 0.379, 0.000)
Mn (0.854, 0.879, 0.500)
Mn (0.879, 0.146, 0.500)
Si (0.000, 0.000, 0.258)
Si (0.000, 0.000, 0.742)
Si (0.024, 0.315, 0.500)
Si (0.175, 0.675, 0.250)
Si (0.175, 0.675, 0.750)
Si (0.185, 0.476, 0.000)
Si (0.315, 0.976, 0.500)
Si (0.325, 0.175, 0.250)
Si (0.325, 0.175, 0.750)
Si (0.476, 0.815, 0.000)
Si (0.500, 0.500, 0.242)
Si (0.500, 0.500, 0.758)
Si (0.524, 0.185, 0.000)
Si (0.675, 0.825, 0.250)
Si (0.675, 0.825, 0.750)
Si (0.685, 0.024, 0.500)
Si (0.815, 0.524, 0.000)
Si (0.825, 0.325, 0.250)
Si (0.825, 0.325, 0.750)
Si (0.976, 0.685, 0.500)


For HoMn2Si2, the GGA-PBE geometry in the Materials Project gives the theoretical X-ray diffraction stick pattern in this record (copper Kα).

Most intense lines, 5 to 70 degrees two-theta, by angle:
| two_theta | Rel. int. |
| --- | --- |
| 24.5 | 53 |
| 34.9 | 79 |
| 37.1 | 100 |
| 46.8 | 36 |
| 50.1 | 26 |
| 59.6 | 40 |

Cell and atoms:
a b c (Å): 3.886 3.886 10.295
angles (deg): 90.00 90.00 90.00
Element x y z (fractional)
Ho (0.000, 0.000, 0.000)
Ho (0.500, 0.500, 0.500)
Mn (0.000, 0.500, 0.250)
Mn (0.000, 0.500, 0.750)
Mn (0.500, 0.000, 0.250)
Mn (0.500, 0.000, 0.750)
Si (0.000, 0.000, 0.380)
Si (0.000, 0.000, 0.620)
Si (0.500, 0.500, 0.120)
Si (0.500, 0.500, 0.880)


For HoMn6Sn6, the GGA-PBE geometry in the Materials Project gives the theoretical X-ray diffraction stick pattern in this record (copper Kα).

Most intense lines, 5 to 70 degrees two-theta, by angle:
| two_theta | Rel. int. |
| --- | --- |
| 32.8 | 100 |
| 35.5 | 45 |
| 38.1 | 27 |
| 38.6 | 87 |
| 43.3 | 44 |
| 68.8 | 29 |

Cell and atoms:
a b c (Å): 5.455 5.455 8.993
angles (deg): 90.00 90.00 120.00
Element x y z (fractional)
Ho (0.000, 0.000, 0.000)
Mn (0.000, 0.500, 0.249)
Mn (0.000, 0.500, 0.751)
Mn (0.500, 0.000, 0.249)
Mn (0.500, 0.000, 0.751)
Mn (0.500, 0.500, 0.249)
Mn (0.500, 0.500, 0.751)
Sn (0.000, 0.000, 0.333)
Sn (0.000, 0.000, 0.667)
Sn (0.333, 0.667, 0.000)
Sn (0.333, 0.667, 0.500)
Sn (0.667, 0.333, 0.000)
Sn (0.667, 0.333, 0.500)


For Ho2Si4Mo3, the GGA-PBE geometry in the Materials Project gives the theoretical X-ray diffraction stick pattern in this record (copper Kα).

Most intense lines, 5 to 70 degrees two-theta, by angle:
| two_theta | Rel. int. |
| --- | --- |
| 34.4 | 38 |
| 34.9 | 39 |
| 37.2 | 100 |
| 37.5 | 98 |
| 41.6 | 50 |
| 42.2 | 43 |

Cell and atoms:
a b c (Å): 6.871 6.932 6.750
angles (deg): 90.00 108.97 90.00
Element x y z (fractional)
Ho (0.191, 0.169, 0.061)
Ho (0.191, 0.331, 0.561)
Ho (0.809, 0.669, 0.439)
Ho (0.809, 0.831, 0.939)
Si (0.090, 0.544, 0.868)
Si (0.090, 0.956, 0.368)
Si (0.496, 0.632, 0.629)
Si (0.496, 0.868, 0.129)
Si (0.504, 0.132, 0.871)
Si (0.504, 0.368, 0.371)
Si (0.910, 0.044, 0.632)
Si (0.910, 0.456, 0.132)
Mo (0.249, 0.663, 0.249)
Mo (0.249, 0.837, 0.749)
Mo (0.500, 0.000, 0.500)
Mo (0.500, 0.500, 0.000)
Mo (0.751, 0.163, 0.251)
Mo (0.751, 0.337, 0.751)


For HoN, the GGA-PBE geometry in the Materials Project gives the theoretical X-ray diffraction stick pattern in this record (copper Kα).

Most intense lines, 5 to 70 degrees two-theta, by angle:
| two_theta | Rel. int. |
| --- | --- |
| 30.0 | 95 |
| 42.9 | 100 |
| 53.2 | 27 |
| 62.3 | 16 |

Cell and atoms:
a b c (Å): 2.980 2.980 2.980
angles (deg): 90.00 90.00 90.00
Element x y z (fractional)
Ho (0.000, 0.000, 0.000)
N (0.500, 0.500, 0.500)